This entry pairs a crystal structure of TeI4 with its theoretical powder X-ray diffraction pattern. Radiation: Cu Ka. Structure: the GGA-PBE geometry in the Materials Project.
Peak positions follow from Bragg's law for the DFT cell and can differ from measured ones.

The 10 most intense peaks (2θ from 10° to 80°), by angle:
| two_theta | I_rel | hkl |
| --- | --- | --- |
| 14.61 | 11 | 0 1 -2 |
| 21.45 | 100 | 1 1 3 |
| 22.60 | 15 | 1 0 -8 |
| 24.36 | 26 | 0 1 11 |
| 26.62 | 42 | -1 1 7 |
| 27.86 | 30 | 0 1 -13 |
| 33.65 | 24 | 1 0 16 |
| 35.19 | 29 | 2 0 -4 |
| 36.58 | 19 | 1 -2 6 |
| 37.14 | 17 | 1 2 -10 |

Cell and atoms:
```
data_TeI4
_chemical_formula_sum 'Te6 I24'
_cell_length_a 5.2725
_cell_length_b 6.3193
_cell_length_c 48.8739
_cell_angle_alpha 88.95
_cell_angle_beta 88.61
_cell_angle_gamma 83.91
_symmetry_space_group_name_H-M 'P -1'
_symmetry_Int_Tables_number 2
loop_
_symmetry_equiv_pos_as_xyz
'x,y,z'
'-x,-y,-z'
loop_
_atom_site_label
_atom_site_fract_x
_atom_site_fract_y
_atom_site_fract_z
Te1 0.0030 0.3753 0.3712
Te2 0.2841 0.2893 0.2713
Te3 0.3375 0.5446 0.5430
I1 0.0650 0.1669 0.4302
I2 0.0736 0.9210 0.1833
I3 0.1164 0.6296 0.9434
I4 0.1284 0.3892 0.6773
I5 0.1956 0.5951 0.2258
I6 0.2183 0.2758 0.9740
I7 0.2368 0.9204 0.7397
I8 0.2543 0.7473 0.4860
I9 0.3937 0.0873 0.3497
I10 0.4319 0.5613 0.8607
I11 0.4376 0.3292 0.5946
I12 0.4573 0.7992 0.1102
```